[1]
Theoretical powder diffraction line list of LiSmH6Ir for Cu Kα (λ = 1.5418 Å), from the GGA-PBE geometry in Alexandria.
Peak positions follow from Bragg's law for the DFT cell and can differ from measured ones.

Main lines, most intense first (2θ = 10–80°):
30.50°, intensity 100.0, (1 0 1); 22.49°, intensity 34.6, (1 0 0); 39.48°, intensity 33.9, (1 1 0); 50.69°, intensity 24.7, (2 0 1); 66.09°, intensity 22.3, (2 1 1); 58.49°, intensity 22.2, (1 1 2); 68.69°, intensity 10.0, (1 0 3); 47.56°, intensity 9.7, (1 0 2); 41.33°, intensity 9.7, (0 0 2); 71.61°, intensity 6.0, (3 0 0)

Structural model:
Cell lengths 4.5647, 4.5647, 4.3689 Å; angles 90.00, 90.00, 120.00 degrees
Space group P-6m2 (No. 187)
One atom of each set of equivalent atoms:
1 Li 0.0000 0.0000 0.0000 x1
2 Sm 0.6667 0.3333 0.5000 x1
3 H 0.1780 0.3561 0.2690 x6
4 Ir 0.3333 0.6667 0.0000 x1

***

[2]
Theoretical powder diffraction line list of LiThH6Ir for Cu Kα (λ = 1.5418 Å), from the GGA-PBE geometry in Alexandria.
Peak positions follow from Bragg's law for the DFT cell and can differ from measured ones.

Main lines, most intense first (2θ = 10–80°):
30.48°, intensity 100.0, (1 0 1); 39.52°, intensity 33.9, (1 1 0); 22.51°, intensity 33.4, (1 0 0); 50.71°, intensity 25.1, (2 0 1); 66.13°, intensity 22.8, (2 1 1); 58.45°, intensity 22.5, (1 1 2); 68.57°, intensity 10.3, (1 0 3); 47.50°, intensity 9.8, (1 0 2); 41.25°, intensity 9.8, (0 0 2); 71.68°, intensity 6.1, (3 0 0)

Structural model:
Cell lengths 4.5609, 4.5609, 4.3770 Å; angles 90.00, 90.00, 120.00 degrees
Space group P-6m2 (No. 187)
One atom of each set of equivalent atoms:
1 Li 0.0000 0.0000 0.0000 x1
2 Th 0.6667 0.3333 0.5000 x1
3 H 0.1744 0.3488 0.2713 x6
4 Ir 0.3333 0.6667 0.0000 x1

***

[3]
Theoretical powder diffraction line list of LiTmH8Ir2 for Cu Kα (λ = 1.5418 Å), from the GGA-PBE geometry in Alexandria.
Peak positions follow from Bragg's law for the DFT cell and can differ from measured ones.

Main lines, most intense first (2θ = 10–80°):
31.98°, intensity 100.0, (2 0 -2); 36.61°, intensity 62.9, (1 1 -2); 39.99°, intensity 62.2, (3 1 -1); 24.02°, intensity 51.2, (1 1 0); 35.01°, intensity 39.7, (2 0 1); 41.88°, intensity 28.0, (0 2 0); 55.70°, intensity 20.8, (2 2 1); 26.08°, intensity 20.0, (1 1 -1); 23.25°, intensity 19.1, (2 0 -1); 53.65°, intensity 17.8, (2 2 -2)

Structural model:
Cell lengths 7.9371, 4.3141, 5.9734 Å; angles 90.00, 114.37, 90.00 degrees
Space group C2/m (No. 12)
One atom of each set of equivalent atoms:
1 Li 0.0000 0.0000 0.0000 x2
2 Tm 0.0000 0.5000 0.5000 x2
3 H 0.0640 0.0000 0.6739 x4
4 H 0.1632 0.2428 0.3157 x8
5 H 0.2458 0.5000 0.8881 x4
6 Ir 0.2092 0.5000 0.1474 x4

***

[4]
Theoretical powder diffraction line list of MgH5Ir for Cu Kα (λ = 1.5418 Å), from the GGA-PBE geometry in Alexandria.
Peak positions follow from Bragg's law for the DFT cell and can differ from measured ones.

Main lines, most intense first (2θ = 10–80°):
20.91°, intensity 100.0, (1 1 0); 40.55°, intensity 50.5, (1 3 0); 31.31°, intensity 49.3, (1 1 -2); 24.09°, intensity 35.0, (0 2 0); 34.56°, intensity 21.3, (2 0 0); 43.10°, intensity 19.7, (2 2 -2); 44.96°, intensity 17.6, (1 1 2); 42.57°, intensity 15.6, (2 2 0); 32.13°, intensity 14.8, (0 0 2); 49.59°, intensity 13.4, (3 1 -2)

Structural model:
Cell lengths 5.8016, 7.3890, 6.2276 Å; angles 90.00, 116.52, 90.00 degrees
Space group C2/c (No. 15)
One atom of each set of equivalent atoms:
1 Mg 0.0000 0.1676 0.2500 x4
2 H 0.0000 0.3986 0.7500 x4
3 H 0.0706 0.2810 0.5515 x8
4 H 0.1921 0.0662 0.8691 x8
5 Ir 0.0000 0.5000 0.0000 x4

***

[5]
Theoretical powder diffraction line list of Mg2H3Ir5 for Cu Kα (λ = 1.5418 Å), from the GGA-PBE geometry in Alexandria.
Peak positions follow from Bragg's law for the DFT cell and can differ from measured ones.

Main lines, most intense first (2θ = 10–80°):
40.03°, intensity 100.0, (2 0 2); 39.53°, intensity 84.6, (2 1 2); 20.63°, intensity 54.3, (0 0 1); 49.99°, intensity 38.7, (2 1 0); 41.98°, intensity 31.8, (0 0 2); 74.88°, intensity 26.7, (4 1 2); 19.71°, intensity 26.2, (1 0 1); 48.73°, intensity 21.9, (2 2 2); 67.27°, intensity 18.1, (2 1 4); 23.80°, intensity 16.3, (1 1 1)

Structural model:
Cell lengths 5.2863, 5.2863, 5.6992 Å; angles 62.40, 62.38, 90.00 degrees
Space group P1 (No. 1)
One atom of each set of equivalent atoms:
1 Mg 0.0000 0.0000 0.0000 x1
2 Mg 0.4877 0.4882 0.0225 x1
3 H 0.1128 0.6128 0.7711 x1
4 H 0.7437 0.7438 0.5113 x1
5 H 0.8735 0.3738 0.2515 x1
6 Ir 0.0431 0.9275 0.5350 x1
7 Ir 0.4210 0.5365 0.5347 x1
8 Ir 0.4942 0.9938 0.0113 x1
9 Ir 0.5600 0.0667 0.4877 x1
10 Ir 0.9510 0.4444 0.4878 x1

***

[6]
Theoretical powder diffraction line list of Mg2H3Ir2 for Cu Kα (λ = 1.5418 Å), from the GGA-PBE geometry in Alexandria.
Peak positions follow from Bragg's law for the DFT cell and can differ from measured ones.

Main lines, most intense first (2θ = 10–80°):
38.43°, intensity 100.0, (0 2 1); 37.77°, intensity 94.4, (2 2 0); 24.96°, intensity 87.3, (0 2 0); 40.48°, intensity 82.5, (2 0 1); 28.74°, intensity 64.2, (0 0 1); 27.89°, intensity 60.1, (2 0 0); 48.15°, intensity 54.3, (2 2 1); 67.24°, intensity 35.9, (2 4 1); 72.69°, intensity 28.4, (2 2 2); 71.41°, intensity 22.4, (4 2 1)

Structural model:
Cell lengths 6.3981, 7.1339, 3.1059 Å; angles 90.00, 90.00, 90.00 degrees
Space group Cmm2 (No. 35)
One atom of each set of equivalent atoms:
1 Mg 0.0000 0.2397 0.0000 x4
2 H 0.0000 0.0000 0.4983 x2
3 H 0.2500 0.2500 0.4999 x4
4 Ir 0.2246 0.5000 0.5000 x4

***

[7]
Theoretical powder diffraction line list of Mg5H2Ir3 for Cu Kα (λ = 1.5418 Å), from the GGA-PBE geometry in Alexandria.
Peak positions follow from Bragg's law for the DFT cell and can differ from measured ones.

Main lines, most intense first (2θ = 10–80°):
28.66°, intensity 100.0, (0 2 0); 38.52°, intensity 96.4, (1 2 -1); 40.99°, intensity 76.5, (1 2 1); 25.20°, intensity 72.9, (1 0 -1); 38.69°, intensity 44.7, (2 0 0); 38.40°, intensity 41.0, (0 0 2); 14.21°, intensity 34.4, (0 1 0); 18.93°, intensity 23.3, (0 0 1); 48.84°, intensity 22.9, (2 2 0); 59.34°, intensity 22.7, (0 4 0)

Structural model:
Cell lengths 4.6921, 6.2319, 4.7259 Å; angles 90.00, 97.25, 90.00 degrees
Space group Pm (No. 6)
One atom of each set of equivalent atoms:
1 Mg 0.0000 0.0000 0.0000 x1
2 Mg 0.0314 0.2677 0.5326 x2
3 Mg 0.4998 0.2648 0.0814 x2
4 H 0.2690 0.5000 0.3019 x1
5 H 0.7410 0.0000 0.3469 x1
6 Ir 0.5109 0.0000 0.5934 x1
7 Ir 0.5442 0.5000 0.5969 x1
8 Ir 0.9840 0.5000 0.0246 x1

***

[8]
Theoretical powder diffraction line list of Mg5HIr for Cu Kα (λ = 1.5418 Å), from the GGA-PBE geometry in Alexandria.
Peak positions follow from Bragg's law for the DFT cell and can differ from measured ones.

Main lines, most intense first (2θ = 10–80°):
19.10°, intensity 100.0, (1 1 0); 22.36°, intensity 56.2, (1 1 -1); 19.31°, intensity 44.4, (0 0 1); 31.51°, intensity 37.8, (1 1 1); 38.11°, intensity 34.6, (3 1 0); 37.61°, intensity 33.8, (1 1 -2); 38.76°, intensity 32.4, (2 2 0); 38.86°, intensity 31.3, (3 1 -2); 37.27°, intensity 30.4, (2 2 -1); 20.45°, intensity 28.2, (2 0 -1)

Structural model:
Cell lengths 9.2266, 5.8031, 5.4696 Å; angles 90.00, 122.81, 90.00 degrees
Space group C2 (No. 5)
One atom of each set of equivalent atoms:
1 Mg 0.0000 0.0000 0.0000 x2
2 Mg 0.1369 0.4525 0.8973 x4
3 Mg 0.2362 0.7439 0.4901 x4
4 H 0.0000 0.7471 0.5000 x2
5 Ir 0.0000 0.0345 0.5000 x2

***

[9]
Theoretical powder diffraction line list of Mg2HIr for Cu Kα (λ = 1.5418 Å), from the GGA-PBE geometry in Alexandria.
Peak positions follow from Bragg's law for the DFT cell and can differ from measured ones.

Main lines, most intense first (2θ = 10–80°):
19.36°, intensity 100.0, (0 1 1); 37.35°, intensity 46.7, (2 1 1); 39.30°, intensity 23.5, (0 2 2); 40.91°, intensity 23.2, (2 2 0); 41.24°, intensity 19.7, (0 3 1); 25.28°, intensity 19.2, (0 2 0); 43.86°, intensity 18.2, (2 0 2); 29.58°, intensity 14.1, (0 0 2); 51.29°, intensity 13.4, (2 2 2); 52.88°, intensity 13.1, (2 3 1)

Structural model:
Cell lengths 5.6573, 7.0474, 6.0389 Å; angles 90.00, 90.00, 90.00 degrees
Space group Ima2 (No. 46)
One atom of each set of equivalent atoms:
1 Mg 0.2500 0.1606 0.0000 x4
2 Mg 0.2500 0.7297 0.8527 x4
3 H 0.2500 0.0417 0.4723 x4
4 Ir 0.0000 0.0000 0.6424 x4

***

[10]
Theoretical powder diffraction line list of Mg3H2Ir5 for Cu Kα (λ = 1.5418 Å), from the GGA-PBE geometry in Alexandria.
Peak positions follow from Bragg's law for the DFT cell and can differ from measured ones.

Main lines, most intense first (2θ = 10–80°):
41.57°, intensity 100.0, (2 2 1); 41.09°, intensity 71.6, (2 2 -1); 19.67°, intensity 63.4, (2 0 0); 35.98°, intensity 46.6, (0 2 1); 39.94°, intensity 46.2, (4 0 0); 36.77°, intensity 29.9, (0 0 2); 42.50°, intensity 29.5, (2 0 2); 18.16°, intensity 25.9, (1 1 0); 65.71°, intensity 20.6, (0 2 3); 72.99°, intensity 19.0, (6 2 -1)

Structural model:
Cell lengths 9.0314, 5.8066, 4.8898 Å; angles 90.00, 91.45, 90.00 degrees
Space group Cm (No. 8)
One atom of each set of equivalent atoms:
1 Mg 0.0000 0.0000 0.0000 x2
2 Mg 0.0115 0.2575 0.4854 x4
3 H 0.2137 0.0000 0.0025 x2
4 H 0.3623 0.0000 0.6947 x2
5 Ir 0.0103 0.5000 0.9921 x2
6 Ir 0.2565 0.2716 0.8321 x4
7 Ir 0.2580 0.5000 0.3373 x2
8 Ir 0.2588 0.0000 0.3490 x2

***

[11]
Theoretical powder diffraction line list of MgH6Ir for Cu Kα (λ = 1.5418 Å), from the GGA-PBE geometry in Alexandria.
Peak positions follow from Bragg's law for the DFT cell and can differ from measured ones.

Main lines, most intense first (2θ = 10–80°):
15.18°, intensity 100.0, (0 0 1); 29.23°, intensity 36.8, (0 1 1); 30.88°, intensity 32.1, (1 0 1); 39.79°, intensity 28.1, (0 1 -2); 24.83°, intensity 21.7, (0 1 0); 41.10°, intensity 18.8, (1 0 2); 26.73°, intensity 18.1, (1 0 0); 40.23°, intensity 17.6, (1 1 -1); 36.58°, intensity 14.3, (1 -1 0); 30.63°, intensity 14.0, (0 0 2)

Structural model:
Cell lengths 3.3353, 3.5859, 5.8374 Å; angles 90.18, 90.05, 90.68 degrees
Space group P1 (No. 1)
One atom of each set of equivalent atoms:
1 Mg 0.0000 0.0000 0.0000 x1
2 H 0.0661 0.0851 0.3635 x1
3 H 0.4992 0.4975 0.5201 x1
4 H 0.4999 0.4986 0.0978 x1
5 H 0.4995 0.9980 0.7421 x1
6 H 0.9328 0.9095 0.3622 x1
7 H 0.9995 0.4977 0.7053 x1
8 Ir 0.4996 0.4984 0.8017 x1

***

[12]
Theoretical powder diffraction line list of Mg5HIr3 for Cu Kα (λ = 1.5418 Å), from the GGA-PBE geometry in Alexandria.
Peak positions follow from Bragg's law for the DFT cell and can differ from measured ones.

Main lines, most intense first (2θ = 10–80°):
39.40°, intensity 100.0, (1 2 -1); 40.11°, intensity 66.5, (1 2 1); 28.01°, intensity 44.4, (0 2 0); 27.17°, intensity 44.3, (1 0 -1); 28.13°, intensity 42.6, (1 0 1); 39.66°, intensity 34.7, (2 0 0); 13.90°, intensity 28.6, (0 1 0); 72.30°, intensity 20.2, (0 4 2); 49.25°, intensity 19.1, (2 2 0); 49.00°, intensity 17.7, (0 2 2)

Structural model:
Cell lengths 4.5479, 6.3715, 4.5809 Å; angles 90.00, 91.94, 90.00 degrees
Space group Pm (No. 6)
One atom of each set of equivalent atoms:
1 Mg 0.0000 0.0000 0.0000 x1
2 Mg 0.0161 0.2743 0.4687 x2
3 Mg 0.5130 0.2729 0.9290 x2
4 H 0.2770 0.0000 0.6685 x1
5 Ir 0.0147 0.5000 0.9644 x1
6 Ir 0.5167 0.5000 0.4296 x1
7 Ir 0.5303 0.0000 0.4111 x1

***

[13]
Theoretical powder diffraction line list of Mg5H2Ir3 for Cu Kα (λ = 1.5418 Å), from the GGA-PBE geometry in Alexandria.
Peak positions follow from Bragg's law for the DFT cell and can differ from measured ones.

Main lines, most intense first (2θ = 10–80°):
38.34°, intensity 100.0, (0 2 2); 37.80°, intensity 93.8, (2 2 0); 24.12°, intensity 86.3, (0 2 0); 29.35°, intensity 50.0, (0 0 2); 18.64°, intensity 47.2, (1 1 0); 28.67°, intensity 45.9, (2 0 0); 40.93°, intensity 40.7, (2 0 -2); 42.06°, intensity 35.8, (2 0 2); 14.56°, intensity 34.6, (0 0 1); 23.97°, intensity 25.7, (1 1 1)

Structural model:
Cell lengths 6.2296, 7.3800, 6.0874 Å; angles 90.00, 91.51, 90.00 degrees
Space group Cm (No. 8)
One atom of each set of equivalent atoms:
1 Mg 0.0000 0.0000 0.0000 x2
2 Mg 0.2743 0.2403 0.2653 x4
3 Mg 0.2851 0.2277 0.7410 x4
4 H 0.2799 0.0000 0.5031 x2
5 H 0.4678 0.0000 0.2490 x2
6 Ir 0.0018 0.0000 0.4977 x2
7 Ir 0.0583 0.5000 0.9869 x2
8 Ir 0.0712 0.5000 0.5226 x2

***

[14]
Theoretical powder diffraction line list of MgH5Ir2 for Cu Kα (λ = 1.5418 Å), from the GGA-PBE geometry in Alexandria.
Peak positions follow from Bragg's law for the DFT cell and can differ from measured ones.

Main lines, most intense first (2θ = 10–80°):
30.06°, intensity 100.0, (0 1 1); 23.52°, intensity 91.1, (1 0 0); 36.83°, intensity 76.8, (1 1 -1); 40.15°, intensity 59.9, (1 1 1); 48.25°, intensity 40.8, (1 2 0); 41.50°, intensity 27.3, (0 2 0); 44.53°, intensity 22.6, (0 0 2); 74.79°, intensity 19.9, (1 3 1); 55.31°, intensity 18.7, (2 1 -1); 48.12°, intensity 17.9, (2 0 0)

Structural model:
Cell lengths 3.8080, 4.3522, 4.0977 Å; angles 90.00, 96.70, 90.00 degrees
Space group P2/m (No. 10)
One atom of each set of equivalent atoms:
1 Mg 0.0000 0.0000 0.0000 x1
2 H 0.0000 0.5000 0.0000 x1
3 H 0.2778 0.2937 0.6673 x4
4 Ir 0.5000 0.0000 0.5000 x1
5 Ir 0.5000 0.5000 0.0000 x1